Diffraction record for CsCr2CoO8. The X-ray diffraction stick pattern is theoretical, not measured: it uses DFT lattice parameters and positions (PBE+U) and λ = 1.5418 Å (Cu Kα).

Crystal structure
```
data_CsCr2CoO8
_symmetry_space_group_name_H-M 'P -3'
_symmetry_Int_Tables_number 147
_cell_length_a 5.1325
_cell_length_b 5.1325
_cell_length_c 8.6624
_cell_angle_alpha 90.00
_cell_angle_beta 90.00
_cell_angle_gamma 120.00
loop_
_symmetry_equiv_pos_as_xyz
'x,y,z'
'-x,-y,-z'
'-y,x-y,z'
'y,-x+y,-z'
'-x+y,-x,z'
'x-y,x,-z'
loop_
_atom_site_label
_atom_site_fract_x
_atom_site_fract_y
_atom_site_fract_z
_atom_site_occupancy
Cs1 0.0000 0.0000 0.0000 1
Cr1 0.3333 0.6667 0.6864 1
Co1 0.0000 0.0000 0.5000 1
O1 0.0619 0.3245 0.6291 1
O2 0.3333 0.6667 0.8756 1
```

Main lines, most intense first (2θ from 10° to 90°):
index  Position (°2θ)  I_rel
0 1 2  28.78  100
1 0 1  22.48  65
1 1 0  34.96  45
1 0 0  19.98  39
0 2 2  45.89  26
3 -2 2  58.97  24
1 0 4  46.66  22
0 2 4  59.61  13
2 1 4  71.01  13
2 -1 2  40.87  13